Structure and calculated powder diffractogram of K3NaMo2O8 (a structure optimized by DFT (PBE+U); Cu Kα (λ = 1.5418 Å)).
Neutral-atom scattering factors, no anomalous dispersion.

Peak list (6 most intense, 10° ≤ 2θ ≤ 90°, sorted by position)
2θ 20.19, I 807
2θ 20.25, I 371
2θ 28.48, I 519
2θ 28.97, I 1000
2θ 29.12, I 437
2θ 41.08, I 538

Cell and atoms:
```
data_K3NaMo2O8
_chemical_formula_sum 'K12 Na4 Mo8 O32'
_cell_length_a 10.6930
_cell_length_b 6.1334
_cell_length_c 15.5298
_cell_angle_alpha 90.00
_cell_angle_beta 90.19
_cell_angle_gamma 90.00
_symmetry_space_group_name_H-M 'C 1 2/c 1'
_symmetry_Int_Tables_number 15
_symmetry_space_group_name_Hall '-C 2yc'
loop_
_atom_site_label
_atom_site_fract_x
_atom_site_fract_y
_atom_site_fract_z
K1 0.0000 0.0633 0.2500
K2 0.1712 0.4763 0.5879
Na1 0.0000 0.0000 0.0000
Mo1 0.1608 0.4760 0.8631
O1 0.0787 0.2219 0.8767
O2 0.0795 0.3166 0.4233
O3 0.1686 0.4379 0.2530
O4 0.1853 0.0468 0.0899
```

=====

Structure and calculated powder diffractogram of KNa2MoO4 (a structure optimized by DFT (PBE+U); Cu Kα (λ = 1.5418 Å)).
Neutral-atom scattering factors, no anomalous dispersion.

Peak list (6 most intense, 10° ≤ 2θ ≤ 90°, sorted by position)
2θ 19.00, I 1000
2θ 30.12, I 539
2θ 31.76, I 961
2θ 31.91, I 991
2θ 54.44, I 360
2θ 57.78, I 435

Cell and atoms:
```
data_KNa2MoO4
_chemical_formula_sum 'K4 Na8 Mo4 O16'
_cell_length_a 8.3488
_cell_length_b 8.4345
_cell_length_c 7.5716
_cell_angle_alpha 90.00
_cell_angle_beta 90.00
_cell_angle_gamma 90.00
_symmetry_space_group_name_H-M 'F m m 2'
_symmetry_Int_Tables_number 42
_symmetry_space_group_name_Hall 'F 2 -2'
loop_
_atom_site_label
_atom_site_fract_x
_atom_site_fract_y
_atom_site_fract_z
K1 0.0000 0.0000 0.0000
Na1 0.2500 0.2500 0.2515
Mo1 0.0000 0.0000 0.5035
O1 0.0000 0.1928 0.3805
O2 0.1933 0.0000 0.6298
```

=====

Structure and calculated powder diffractogram of KNa3V2Mo2O12 (a structure optimized by DFT (PBE+U); Cu Kα (λ = 1.5418 Å)).
Neutral-atom scattering factors, no anomalous dispersion.

Peak list (6 most intense, 10° ≤ 2θ ≤ 90°, sorted by position)
2θ 22.56, I 358
2θ 22.84, I 697
2θ 32.32, I 1000
2θ 32.52, I 501
2θ 46.66, I 516
2θ 57.90, I 354

Cell and atoms:
```
data_KNa3V2Mo2O12
_chemical_formula_sum 'K4 Na12 V8 Mo8 O48'
_cell_length_a 11.0031
_cell_length_b 11.0225
_cell_length_c 7.8818
_cell_angle_alpha 90.00
_cell_angle_beta 90.00
_cell_angle_gamma 90.00
_symmetry_space_group_name_H-M 'C m m 2'
_symmetry_Int_Tables_number 35
_symmetry_space_group_name_Hall 'C 2 -2'
loop_
_atom_site_label
_atom_site_fract_x
_atom_site_fract_y
_atom_site_fract_z
K1 0.2460 0.0000 0.0000
Na1 0.0000 0.2369 0.9929
Na2 0.0000 0.2401 0.5314
Na3 0.2398 0.0000 0.5328
V1 0.0000 0.0000 0.2798
V2 0.0000 0.0000 0.7712
V3 0.2500 0.2500 0.7497
Mo1 0.0000 0.5000 0.2664
Mo2 0.0000 0.5000 0.7659
Mo3 0.2500 0.2500 0.2531
O1 0.0000 0.0000 0.5004
O2 0.0000 0.0000 0.9914
O3 0.0000 0.5000 0.0060
O4 0.0000 0.5000 0.4990
O5 0.1218 0.3776 0.7486
O6 0.1225 0.3770 0.2536
O7 0.1248 0.1270 0.2531
O8 0.1286 0.1308 0.7467
O9 0.2500 0.2500 0.0102
O10 0.2500 0.2500 0.4937
```